RbBa2UO5: computed X-ray powder pattern (Cu Kα (weighted mean of Kα1 and Kα2)), based on the PBE geometry in Alexandria.
Neutral-atom scattering factors, no anomalous dispersion.

Top 10 peaks for 10° ≤ 2θ ≤ 90°, sorted by position:
| hkl | two_theta | I_rel |
| --- | --- | --- |
| 0 1 1 | 15.04 | 32 |
| 0 2 0 | 26.68 | 27 |
| 1 1 2 | 28.09 | 100 |
| 0 0 4 | 28.66 | 18 |
| 0 2 4 | 39.56 | 24 |
| 1 2 3 | 40.18 | 11 |
| 2 0 0 | 40.73 | 13 |
| 1 3 2 | 47.99 | 24 |
| 1 1 6 | 50.42 | 14 |
| 2 2 4 | 58.07 | 15 |

Structure:
a b c (Å): 4.431 6.682 12.459
angles (deg): 90.00 90.00 90.00
Space group Immm (No. 71)
Unique sites:
Rb 0.000 0.000 0.000
Ba 0.000 0.500 0.224
U 0.000 0.000 0.500
O 0.000 0.214 0.371
O 0.000 0.500 0.000